(1)
The following is a calculated X-ray diffraction stick pattern of Y4CoHg. It was derived from DFT lattice parameters and positions (GGA-PBE), using Cu Kα (λ = 1.5418 Å).
Peak positions follow from Bragg's law for the DFT cell and can differ from measured ones.

Cell and atoms:
abc: 7.5695 7.5695 6.1252
angles: 98.75 98.75 109.99
Positions (direct):
Y  0.0610  0.7321  0.9614
Y  0.2061  0.3723  0.5949
Y  0.2679  0.9390  0.5386
Y  0.3723  0.2061  0.0949
Y  0.6277  0.7939  0.9051
Y  0.7321  0.0610  0.4614
Y  0.7939  0.6277  0.4051
Y  0.9390  0.2679  0.0386
Co  0.0011  0.9989  0.7500
Co  0.9989  0.0011  0.2500
Hg  0.3719  0.6281  0.2500
Hg  0.6281  0.3719  0.7500

Principal peaks in the range 2θ from 10° to 90°, most intense first:
2θ (°)	I_rel
32.68	100.0
32.45	57.0
36.62	41.5
30.17	40.4
29.93	28.5
28.80	27.5
20.77	25.0
38.55	24.1
17.45	23.8
37.83	21.1



(2)
The following is a calculated X-ray diffraction stick pattern of Er6CoTe. It was derived from DFT lattice parameters and positions (GGA-PBE), using Cu Kα (λ = 1.5418 Å).
Peak positions follow from Bragg's law for the DFT cell and can differ from measured ones.

Cell and atoms:
abc: 6.8780 10.8915 6.8050
angles: 90.00 107.49 90.00
Positions (direct):
Er  0.2064  0.1801  0.2233
Er  0.2064  0.8199  0.2233
Er  0.2416  0.0000  0.7883
Er  0.2584  0.5000  0.2117
Er  0.2936  0.3199  0.7767
Er  0.2936  0.6801  0.7767
Er  0.7064  0.3199  0.2233
Er  0.7064  0.6801  0.2233
Er  0.7416  0.5000  0.7883
Er  0.7584  0.0000  0.2117
Er  0.7936  0.1801  0.7767
Er  0.7936  0.8199  0.7767
Co  0.0000  0.0000  0.0000
Co  0.5000  0.5000  0.0000
Te  0.0000  0.5000  0.5000
Te  0.5000  0.0000  0.5000

Principal peaks in the range 2θ from 10° to 90°, most intense first:
2θ (°)	I_rel
33.15	100.0
29.45	67.2
32.46	54.7
27.48	36.4
46.89	35.7
27.19	35.0
47.27	34.3
44.78	21.2
56.09	17.2
50.27	17.2



(3)
The following is a calculated X-ray diffraction stick pattern of Pm3Ni9Ge2. It was derived from DFT lattice parameters and positions (GGA-PBE), using Cu Kα (λ = 1.5418 Å).
Peak positions follow from Bragg's law for the DFT cell and can differ from measured ones.

Cell and atoms:
abc: 7.9091 7.9091 7.9091
angles: 150.81 107.82 79.68
Positions (direct):
Pm  0.0000  0.0000  0.0000
Pm  0.3068  0.3068  0.0000
Pm  0.6932  0.6932  0.0000
Ni  0.0062  0.6951  0.3110
Ni  0.1704  0.8927  0.2777
Ni  0.3841  0.6951  0.6890
Ni  0.3850  0.1073  0.2777
Ni  0.5000  0.0000  0.5000
Ni  0.6150  0.8927  0.7223
Ni  0.6159  0.3049  0.3110
Ni  0.8296  0.1073  0.7223
Ni  0.9938  0.3049  0.6890
Ge  0.2706  0.5000  0.7706
Ge  0.7294  0.5000  0.2294

Principal peaks in the range 2θ from 10° to 90°, most intense first:
2θ (°)	I_rel
37.07	100.0
36.68	77.1
45.52	60.8
43.64	53.8
38.65	50.6
36.46	49.2
31.50	45.5
59.68	36.0
48.01	35.8
61.20	33.5